This entry pairs a crystal structure of Pm2TmIn2Rh5 with its calculated powder diffraction line list. Radiation: Cu Ka. Structure: a structure optimized by DFT (PBE).

Most intense lines, 15° ≤ 2θ ≤ 90°, sorted by position:
| index | Position (°2θ) | I (rel.) |
| --- | --- | --- |
| 2 2 1 | 34.26 | 20 |
| 4 1 0 | 35.49 | 30 |
| 3 1 1 | 36.43 | 100 |
| 3 3 0 | 36.55 | 14 |
| 4 2 0 | 38.61 | 15 |
| 3 2 1 | 39.48 | 25 |
| 4 0 1 | 42.35 | 10 |
| 0 0 2 | 49.04 | 18 |
| 4 1 2 | 61.98 | 12 |
| 3 1 3 | 83.35 | 9 |

Structural model:
```
data_Pm2TmIn2Rh5
_chemical_formula_sum 'Pm4 Tm2 In4 Rh10'
_space_group_name_H-M_alt 'P 4/m b m'
_space_group_IT_number 127
_space_group_name_Hall '-P 4 2ab'
_cell_length_a 10.4294
_cell_length_b 10.4294
_cell_length_c 3.7154
_cell_angle_alpha 90.00
_cell_angle_beta 90.00
_cell_angle_gamma 90.00
loop_
_atom_site_label
_atom_site_fract_x
_atom_site_fract_y
_atom_site_fract_z
Pm1 0.1700 0.3300 0.0000
Tm1 0.0000 0.0000 0.0000
In1 0.1279 0.6279 0.0000
Rh1 0.0000 0.5000 0.5000
Rh2 0.0619 0.7991 0.5000
```